# SrLaMnO3
Calculated XRD peak list, Cu Ka. Input: the GGA+U geometry in the Materials Project.

Principal peaks in the range 10° ≤ 2θ ≤ 80°, low angle first:
index  2theta  I_rel
1 1 0  23.4  23
4 0 0  26.7  19
3 1 0  30.2  70
2 0 1  32.0  40
4 0 -1  32.1  40
1 1 -1  33.7  100
6 0 0  40.6  24
0 2 0  45.8  25
7 1 -1  53.9  22
4 2 -1  57.0  31

Structure:
Unit cell a=13.7925 b=3.9602 c=3.5854 alpha=90.00 beta=104.86 gamma=90.00
Space group Cm (No. 8)
Symmetry-distinct sites (fractional):
Sr1 0.0000 0.0000 0.0000 [2 per cell]
La1 0.2935 0.0000 0.2881 [2 per cell]
Mn1 0.1416 0.5000 0.6403 [2 per cell]
O1 0.1538 0.0000 0.6453 [2 per cell]
O2 0.3152 0.5000 0.8313 [2 per cell]
O3 0.4705 0.0000 0.4806 [2 per cell]



# Fe3O4F2
Calculated XRD peak list, Cu Ka. Input: the GGA+U geometry in the Materials Project.

Principal peaks in the range 10° ≤ 2θ ≤ 80°, low angle first:
index  2theta  I_rel
0 2 0  27.0  100
3 1 0  34.9  27
1 1 2  35.1  28
2 2 -2  38.6  9
5 1 -2  52.8  15
3 3 0  53.0  15
1 1 -4  53.2  30
4 0 2  60.3  9
5 3 -2  67.3  15
1 3 -4  67.7  10

Structure:
Unit cell a=9.0554 b=6.5891 c=7.2574 alpha=90.00 beta=112.24 gamma=90.00
Space group C2 (No. 5)
Symmetry-distinct sites (fractional):
Fe1 0.0000 0.0000 0.0000 [2 per cell]
Fe2 0.0000 0.0122 0.5000 [2 per cell]
Fe3 0.1488 0.5031 0.1732 [4 per cell]
Fe4 0.1707 0.4738 0.6539 [4 per cell]
O1 0.0000 0.3015 0.0000 [2 per cell]
O2 0.0000 0.7013 0.0000 [2 per cell]
O3 0.0549 0.4860 0.3672 [4 per cell]
O4 0.0967 0.9974 0.2875 [4 per cell]
O5 0.1778 0.1776 0.6679 [4 per cell]
F1 0.1682 0.7917 0.6676 [4 per cell]
F2 0.2374 0.9945 0.0324 [4 per cell]



# Mg3V4P6O24
Calculated XRD peak list, Cu Ka. Input: the GGA+U geometry in the Materials Project.

Principal peaks in the range 10° ≤ 2θ ≤ 80°, low angle first:
index  2theta  I_rel
0 1 0  12.0  44
1 -1 1  20.4  33
2 0 -1  28.3  51
2 -1 0  29.5  44
0 2 1  29.7  100
0 1 -3  29.9  60
1 -2 2  30.8  35
2 1 -2  33.0  21
3 -3 2  57.7  21
-4 1 1  58.2  21

Structure:
Unit cell a=6.4235 b=8.0199 c=9.4636 alpha=105.34 beta=108.79 gamma=101.07
Space group P-1 (No. 2)
Symmetry-distinct sites (fractional):
Mg1 0.0000 0.0000 0.0000 [1 per cell]
Mg2 0.2784 0.8097 0.2892 [2 per cell]
V1 0.0474 0.7173 0.5238 [2 per cell]
V2 0.3882 0.4615 0.1163 [2 per cell]
P1 0.0869 0.5898 0.8332 [2 per cell]
P2 0.2288 0.1456 0.7699 [2 per cell]
P3 0.3930 0.2277 0.3663 [2 per cell]
O1 0.0165 0.1831 0.6612 [2 per cell]
O2 0.0623 0.5419 0.6547 [2 per cell]
O3 0.1017 0.7828 0.9135 [2 per cell]
O4 0.1233 0.5427 0.1649 [2 per cell]
O5 0.2134 0.9467 0.7091 [2 per cell]
O6 0.2291 0.1997 0.9420 [2 per cell]
O7 0.2458 0.2770 0.4607 [2 per cell]
O8 0.2686 0.0363 0.2356 [2 per cell]
O9 0.3079 0.5402 0.9193 [2 per cell]
O10 0.3744 0.7717 0.5086 [2 per cell]
O11 0.4503 0.3633 0.2860 [2 per cell]
O12 0.4577 0.2622 0.7718 [2 per cell]



# Ba2AlCo2F11
Calculated XRD peak list, Cu Ka. Input: the GGA+U geometry in the Materials Project.

Principal peaks in the range 10° ≤ 2θ ≤ 80°, low angle first:
index  2theta  I_rel
1 0 3  23.2  73
2 -1 1  24.8  58
1 1 2  27.1  66
0 2 1  28.5  100
2 0 2  30.5  52
2 1 2  39.2  53
0 1 6  40.2  30
3 -2 4  45.1  37
2 2 0  49.1  48
4 0 1  57.8  27

Structure:
Unit cell a=7.4206 b=7.4206 c=14.3468 alpha=90.00 beta=90.00 gamma=120.00
Space group P3_2 (No. 145)
Symmetry-distinct sites (fractional):
Ba1 0.1419 0.0130 0.0000 [3 per cell]
Ba2 0.5092 0.1656 0.4665 [3 per cell]
Al1 0.1756 0.4992 0.8733 [3 per cell]
Co1 0.1342 0.4365 0.3871 [3 per cell]
Co2 0.3383 0.3172 0.2188 [3 per cell]
F1 0.0012 0.7539 0.6879 [3 per cell]
F2 0.0453 0.1355 0.1796 [3 per cell]
F3 0.0534 0.7536 0.1868 [3 per cell]
F4 0.0782 0.3950 0.9856 [3 per cell]
F5 0.1356 0.7212 0.8780 [3 per cell]
F6 0.2207 0.5462 0.2457 [3 per cell]
F7 0.2580 0.5788 0.7521 [3 per cell]
F8 0.3601 0.1507 0.6873 [3 per cell]
F9 0.4066 0.4017 0.0861 [3 per cell]
F10 0.4165 0.0888 0.1600 [3 per cell]
F11 0.5306 0.1611 0.9266 [3 per cell]



# Co3P4PbO14
Calculated XRD peak list, Cu Ka. Input: the GGA+U geometry in the Materials Project.

Principal peaks in the range 10° ≤ 2θ ≤ 80°, low angle first:
index  2theta  I_rel
0 1 1  15.0  92
0 0 2  19.9  91
1 1 1  21.9  92
0 2 0  22.6  77
1 2 0  26.0  93
2 1 -1  26.1  79
1 1 -3  30.2  82
2 1 1  32.7  100
2 1 -3  33.4  81
0 3 1  35.7  79

Structure:
Unit cell a=7.5867 b=7.8642 c=9.6066 alpha=90.00 beta=111.94 gamma=90.00
Space group P2_1/c (No. 14)
Symmetry-distinct sites (fractional):
Co1 0.0000 0.0000 0.0000 [2 per cell]
Co2 0.1860 0.1252 0.5274 [4 per cell]
P1 0.1098 0.7031 0.8062 [4 per cell]
P2 0.3946 0.0554 0.2990 [4 per cell]
Pb1 0.5000 0.0000 0.0000 [2 per cell]
O1 0.9999 0.2101 0.8643 [4 per cell]
O2 0.0253 0.5777 0.8874 [4 per cell]
O3 0.1528 0.6254 0.3869 [4 per cell]
O4 0.2705 0.1144 0.1365 [4 per cell]
O5 0.3150 0.6291 0.8221 [4 per cell]
O6 0.3738 0.1757 0.4166 [4 per cell]
O7 0.4030 0.5180 0.1906 [4 per cell]



# KCr2FeO10
Calculated XRD peak list, Cu Ka. Input: the GGA+U geometry in the Materials Project.

Principal peaks in the range 10° ≤ 2θ ≤ 80°, low angle first:
index  2theta  I_rel
2 0 -1  16.7  100
2 0 0  17.5  56
1 1 1  24.4  71
1 1 -2  28.2  93
3 1 -1  29.0  25
3 1 0  31.1  38
0 2 0  32.8  40
1 1 2  34.4  18
5 1 0  47.9  22
6 2 -2  60.1  18

Structure:
Unit cell a=11.1911 b=5.4667 c=7.7932 alpha=90.00 beta=115.08 gamma=90.00
Space group C2/m (No. 12)
Symmetry-distinct sites (fractional):
K1 0.0000 0.0000 0.0000 [2 per cell]
Cr1 0.1072 0.5000 0.7771 [4 per cell]
Fe1 0.0000 0.0000 0.5000 [2 per cell]
O1 0.0112 0.2427 0.6819 [8 per cell]
O2 0.1455 0.5000 0.0020 [4 per cell]
O3 0.1794 0.0000 0.5820 [4 per cell]
O4 0.2390 0.5000 0.7411 [4 per cell]



# SbMo2O8
Calculated XRD peak list, Cu Ka. Input: the GGA+U geometry in the Materials Project.

Principal peaks in the range 10° ≤ 2θ ≤ 80°, low angle first:
index  2theta  I_rel
3 1 0  21.4  14
6 0 0  23.4  31
1 1 1  25.3  100
3 1 1  28.7  16
5 1 -1  29.0  46
8 0 0  31.4  18
4 0 -2  33.7  25
9 1 1  46.6  21
3 1 -3  53.3  15
13 1 -1  54.7  14

Structure:
Unit cell a=23.3405 b=4.9575 c=5.5026 alpha=90.00 beta=102.52 gamma=90.00
Space group C2/c (No. 15)
Symmetry-distinct sites (fractional):
Sb1 0.0000 0.1741 0.2500 [4 per cell]
Mo1 0.1397 0.2700 0.0458 [8 per cell]
O1 0.0468 0.1006 0.9764 [8 per cell]
O2 0.1010 0.4548 0.3128 [8 per cell]
O3 0.1510 0.0296 0.8054 [8 per cell]
O4 0.2074 0.4111 0.1414 [8 per cell]